No. 1
This entry pairs a crystal structure of Hf2AlInAu2 with its simulated powder diffraction line list. Radiation: Cu Kα. Structure: DFT lattice parameters and positions (PBE).

Most intense lines, 2θ = 10–90°, in order of rising 2θ:
24.20°, I = 61, (1 0 -3); 28.01°, I = 2, (2 0 2); 32.58°, I = 1, (0 1 3); 40.03°, I = 100, (0 2 0); 47.33°, I = 31, (1 2 -3); 57.90°, I = 17, (4 2 -4); 63.67°, I = 13, (1 3 1); 72.72°, I = 34, (4 3 0); 77.93°, I = 10, (5 3 -3); 86.40°, I = 11, (0 4 0)

Unit cell a=11.032 b=4.503 c=11.040 alpha=90.00 beta=109.47 gamma=90.00
Space group Pm (No. 6)
Inequivalent atoms, fractional coordinates:
Hf 0.000 0.000 0.000 [1 per cell]
Hf 0.116 0.500 0.373 [1 per cell]
Hf 0.242 0.000 0.745 [1 per cell]
Hf 0.375 0.500 0.130 [1 per cell]
Hf 0.496 0.000 0.501 [1 per cell]
Hf 0.621 0.500 0.870 [1 per cell]
Hf 0.746 0.000 0.251 [1 per cell]
Hf 0.869 0.500 0.622 [1 per cell]
Al 0.248 0.000 0.251 [1 per cell]
Al 0.621 0.500 0.376 [1 per cell]
Al 0.746 0.000 0.747 [1 per cell]
Al 0.992 0.000 0.498 [1 per cell]
In 0.120 0.500 0.875 [1 per cell]
In 0.369 0.500 0.621 [1 per cell]
In 0.498 0.000 0.002 [1 per cell]
In 0.872 0.500 0.124 [1 per cell]
Au 0.131 0.500 0.133 [1 per cell]
Au 0.236 0.000 0.491 [1 per cell]
Au 0.370 0.500 0.874 [1 per cell]
Au 0.498 0.000 0.259 [1 per cell]
Au 0.626 0.500 0.623 [1 per cell]
Au 0.748 0.000 0.990 [1 per cell]
Au 0.868 0.500 0.379 [1 per cell]
Au 0.988 0.000 0.742 [1 per cell]

No. 2
This entry pairs a crystal structure of HoAlPdAu with its simulated powder diffraction line list. Radiation: Cu Kα. Structure: DFT lattice parameters and positions (PBE).

Most intense lines, 2θ = 10–90°, in order of rising 2θ:
23.22°, I = 45, (1 0 0); 30.42°, I = 10, (1 0 2); 37.67°, I = 100, (1 0 3); 40.81°, I = 61, (1 1 0); 56.74°, I = 31, (0 2 3); 65.84°, I = 8, (0 1 6); 72.22°, I = 30, (2 1 3); 74.29°, I = 10, (3 0 0); 75.69°, I = 15, (1 1 6); 88.41°, I = 7, (2 2 0)

Unit cell a=4.4227 b=4.4227 c=9.1622 alpha=90.00 beta=90.00 gamma=120.00
Space group P-3m1 (No. 164)
Inequivalent atoms, fractional coordinates:
Ho 0.3333 0.6667 0.2585 [2 per cell]
Al 0.0000 0.0000 0.0000 [1 per cell]
Al 0.0000 0.0000 0.5000 [1 per cell]
Pd 0.3333 0.6667 0.5784 [2 per cell]
Au 0.3333 0.6667 0.9103 [2 per cell]

No. 3
This entry pairs a crystal structure of Ho2Al2Pd3Au with its simulated powder diffraction line list. Radiation: Cu Kα. Structure: DFT lattice parameters and positions (PBE).

Most intense lines, 2θ = 10–90°, in order of rising 2θ:
23.36°, I = 46, (1 0 0); 37.94°, I = 100, (1 0 3); 41.06°, I = 60, (1 1 0); 47.77°, I = 7, (2 0 0); 57.13°, I = 30, (0 2 3); 66.38°, I = 8, (0 1 6); 72.74°, I = 30, (2 1 3); 74.80°, I = 10, (3 0 0); 76.31°, I = 15, (1 1 6); 89.07°, I = 7, (2 2 0)

Unit cell a=4.3967 b=4.3967 c=9.0939 alpha=90.00 beta=90.00 gamma=120.00
Space group P3m1 (No. 156)
Inequivalent atoms, fractional coordinates:
Ho 0.0000 0.0000 0.0000 [1 per cell]
Ho 0.3333 0.6667 0.5073 [1 per cell]
Al 0.6667 0.3333 0.2678 [1 per cell]
Al 0.6667 0.3333 0.7533 [1 per cell]
Pd 0.0000 0.0000 0.3382 [1 per cell]
Pd 0.0000 0.0000 0.6751 [1 per cell]
Pd 0.3333 0.6667 0.8350 [1 per cell]
Au 0.3333 0.6667 0.1703 [1 per cell]

No. 4
This entry pairs a crystal structure of Li2AlZn2InAu2 with its simulated powder diffraction line list. Radiation: Cu Kα. Structure: DFT lattice parameters and positions (PBE).

Most intense lines, 2θ = 10–90°, in order of rising 2θ:
24.24°, I = 100, (1 0 1); 40.07°, I = 86, (1 1 2); 40.18°, I = 45, (2 0 0); 47.28°, I = 14, (1 0 3); 47.48°, I = 34, (2 1 1); 58.13°, I = 15, (2 2 0); 63.74°, I = 12, (2 1 3); 72.71°, I = 12, (2 0 4); 72.95°, I = 29, (3 1 2); 78.24°, I = 8, (3 2 1)

Unit cell a=4.488 b=4.488 c=6.383 alpha=90.00 beta=90.00 gamma=90.00
Space group P-4m2 (No. 115)
Inequivalent atoms, fractional coordinates:
Li 0.000 0.500 0.239 [2 per cell]
Al 0.500 0.500 0.000 [1 per cell]
Zn 0.000 0.000 0.000 [1 per cell]
Zn 0.500 0.500 0.500 [1 per cell]
In 0.000 0.000 0.500 [1 per cell]
Au 0.000 0.500 0.774 [2 per cell]